[1]
Theoretical powder diffraction line list
Compound: Er2BeCuPt6
Radiation: CuKα
Structure: a structure optimized by DFT (GGA-PBE)

Most intense lines, 2θ = 10–80°, by intensity:
2.331 Å, 38.63°, intensity 100
2.174 Å, 41.53°, intensity 79
3.485 Å, 25.56°, intensity 48
1.380 Å, 67.90°, intensity 26
2.567 Å, 34.96°, intensity 22
2.164 Å, 41.74°, intensity 21
1.764 Å, 51.81°, intensity 20
3.148 Å, 28.35°, intensity 19

```
data_Er2BeCuPt6
_chemical_formula_sum 'Er2 Be1 Cu1 Pt6'
_cell_length_a 7.665
_cell_length_b 7.665
_cell_length_c 7.665
_cell_angle_alpha 42.23
_cell_angle_beta 42.23
_cell_angle_gamma 42.23
_space_group_name_H-M_alt 'P 1'
_space_group_IT_number 1
loop_
_space_group_symop_operation_xyz
'x,y,z'
loop_
_atom_site_label
_atom_site_fract_x
_atom_site_fract_y
_atom_site_fract_z
Er1 0.204 0.204 0.204
Er2 0.796 0.796 0.796
Be1 0.000 0.000 0.000
Cu1 0.500 0.500 0.500
Pt1 0.242 0.242 0.737
Pt2 0.242 0.737 0.242
Pt3 0.263 0.758 0.758
Pt4 0.737 0.242 0.242
Pt5 0.758 0.263 0.758
Pt6 0.758 0.758 0.263
```

[2]
Theoretical powder diffraction line list
Compound: LiAcAsPd6
Radiation: CuKα
Structure: a structure optimized by DFT (GGA-PBE)

Most intense lines, 2θ = 10–80°, by intensity:
2.690 Å, 33.30°, intensity 100
1.963 Å, 46.25°, intensity 58
2.396 Å, 37.54°, intensity 55
3.298 Å, 27.04°, intensity 49
2.532 Å, 35.45°, intensity 45
7.357 Å, 12.03°, intensity 38
2.870 Å, 31.17°, intensity 28
2.028 Å, 44.68°, intensity 24

```
data_LiAcAsPd6
_chemical_formula_sum 'Li2 Ac2 As2 Pd12'
_cell_length_a 8.153
_cell_length_b 8.153
_cell_length_c 8.153
_cell_angle_alpha 132.99
_cell_angle_beta 108.01
_cell_angle_gamma 90.51
_space_group_name_H-M_alt 'P 1'
_space_group_IT_number 1
loop_
_space_group_symop_operation_xyz
'x,y,z'
loop_
_atom_site_label
_atom_site_fract_x
_atom_site_fract_y
_atom_site_fract_z
Li1 0.500 0.000 0.000
Li2 0.500 0.500 0.500
Ac1 0.086 0.336 0.750
Ac2 0.914 0.664 0.250
As1 0.000 0.000 0.000
As2 0.500 0.000 0.500
Pd1 0.146 0.413 0.295
Pd2 0.146 0.851 0.733
Pd3 0.188 0.938 0.250
Pd4 0.330 0.580 0.750
Pd5 0.382 0.149 0.795
Pd6 0.382 0.587 0.233
Pd7 0.618 0.413 0.767
Pd8 0.618 0.851 0.205
Pd9 0.670 0.420 0.250
Pd10 0.812 0.062 0.750
Pd11 0.854 0.149 0.267
Pd12 0.854 0.587 0.705
```